[1]
Computed powder X-ray diffraction pattern
Compound: Pr3P11
Radiation: λ = 1.5418 Å (Cu Kα)
Structure: a PBE-relaxed structure
Lines closer than 0.1° are merged.

The 12 most intense peaks (2θ = 10–80°), by angle:
15.2°, I = 70
21.0°, I = 89
21.4°, I = 98
24.2°, I = 43
27.9°, I = 93
28.7°, I = 100
30.2°, I = 47
32.0°, I = 45
33.6°, I = 73
34.5°, I = 72
39.8°, I = 64
49.6°, I = 49

Crystal structure
```
Pr3P11
1.0
7.6368 -3.6761 0.0000
7.6368 3.6761 0.0000
-0.9063 0.0000 5.8271
Pr P
3 11
direct
0.0000 0.0000 0.0000
0.3369 0.3369 0.9092
0.6318 0.6318 0.1929
0.0041 0.3149 0.8573
0.1503 0.6648 0.2733
0.1943 0.1943 0.3084
0.2026 0.6777 0.6410
0.3149 0.0041 0.8573
0.4399 0.9761 0.5424
0.5294 0.5294 0.6892
0.6648 0.1503 0.2733
0.6777 0.2026 0.6410
0.8260 0.8260 0.1698
0.9761 0.4399 0.5424
```


[2]
Computed powder X-ray diffraction pattern
Compound: PrPS4
Radiation: λ = 1.5418 Å (Cu Kα)
Structure: a PBE-relaxed structure
Lines closer than 0.1° are merged.

The 12 most intense peaks (2θ = 10–80°), by angle:
16.1°, I = 100
24.4°, I = 66
29.4°, I = 55
32.5°, I = 19
36.4°, I = 38
37.0°, I = 16
37.5°, I = 46
40.5°, I = 24
41.0°, I = 55
46.6°, I = 13
52.9°, I = 16
56.0°, I = 19

Crystal structure
```
PrPS4
1.0
-5.5120 5.5120 9.7274
5.5120 -5.5120 9.7274
5.5120 5.5120 -9.7274
Pr P S
8 8 32
direct
0.1250 0.3750 0.7500
0.1250 0.8750 0.2500
0.3750 0.1250 0.2500
0.3750 0.6250 0.7500
0.6250 0.3750 0.2500
0.6250 0.8750 0.7500
0.8750 0.1250 0.7500
0.8750 0.6250 0.2500
0.2129 0.2500 0.4629
0.2500 0.2871 0.0371
0.2500 0.7871 0.5371
0.2871 0.7500 0.0371
0.7129 0.2500 0.9629
0.7500 0.2129 0.4629
0.7500 0.7129 0.9629
0.7871 0.7500 0.5371
0.0914 0.8854 0.4796
0.0942 0.3882 0.9796
0.0954 0.6645 0.9340
0.1118 0.4058 0.5204
0.1146 0.0942 0.2061
0.1615 0.0954 0.9309
0.1645 0.5954 0.4340
0.2306 0.1615 0.5660
0.2694 0.8355 0.9309
0.3355 0.7694 0.4309
0.3385 0.2694 0.9340
0.3854 0.5914 0.9796
0.3882 0.9086 0.2939
0.4046 0.3385 0.5691
0.4058 0.3854 0.2939
0.4086 0.8882 0.7939
0.5914 0.1118 0.2061
0.5942 0.6146 0.7061
0.5954 0.6615 0.4309
0.6118 0.0914 0.7061
0.6146 0.4086 0.0204
0.6615 0.7306 0.0660
0.6645 0.2306 0.5691
0.7306 0.1645 0.0691
0.7694 0.8385 0.4340
0.8355 0.4046 0.5660
0.8385 0.9046 0.0691
0.8854 0.9058 0.7939
0.8882 0.5942 0.4796
0.9046 0.3355 0.0660
0.9058 0.6118 0.0204
0.9086 0.1146 0.5204
```


[3]
Computed powder X-ray diffraction pattern
Compound: Pr2TeP
Radiation: λ = 1.5418 Å (Cu Kα)
Structure: a PBE-relaxed structure
Lines closer than 0.1° are merged.

The 12 most intense peaks (2θ = 10–80°), by angle:
25.3°, I = 8
27.2°, I = 10
28.9°, I = 100
33.3°, I = 11
40.2°, I = 9
41.3°, I = 48
42.3°, I = 13
50.3°, I = 11
52.0°, I = 14
57.7°, I = 9
67.9°, I = 11
76.6°, I = 8

Crystal structure
```
Pr2TeP
1.0
4.2771 0.0000 0.0000
0.0000 6.1737 0.0000
0.0000 0.0000 8.9662
Pr Te P
4 2 2
direct
0.2500 0.2500 0.1037
0.2500 0.2500 0.6659
0.7500 0.7500 0.3341
0.7500 0.7500 0.8963
0.2500 0.7500 0.6170
0.7500 0.2500 0.3830
0.2500 0.7500 0.1188
0.7500 0.2500 0.8812
```


[4]
Computed powder X-ray diffraction pattern
Compound: P2Pt3
Radiation: λ = 1.5418 Å (Cu Kα)
Structure: a PBE-relaxed structure
Lines closer than 0.1° are merged.

The 12 most intense peaks (2θ = 10–80°), by angle:
27.2°, I = 100
27.9°, I = 36
32.0°, I = 46
34.5°, I = 36
38.2°, I = 18
38.7°, I = 58
42.2°, I = 86
45.4°, I = 63
47.8°, I = 45
53.7°, I = 25
68.2°, I = 23
72.0°, I = 19

Crystal structure
```
P2Pt3
1.0
1.7063 -6.0158 0.0000
1.7063 6.0158 0.0000
0.0000 0.0000 7.5627
P Pt
4 6
direct
0.0000 0.0000 0.0000
0.0000 0.0000 0.5000
0.2563 0.7437 0.7500
0.7437 0.2563 0.2500
0.3371 0.6629 0.0655
0.3371 0.6629 0.4345
0.4551 0.5449 0.7500
0.5449 0.4551 0.2500
0.6629 0.3371 0.5655
0.6629 0.3371 0.9345
```


[5]
Computed powder X-ray diffraction pattern
Compound: Tl3P2Pt3
Radiation: λ = 1.5418 Å (Cu Kα)
Structure: a PBE-relaxed structure
Lines closer than 0.1° are merged.

The 12 most intense peaks (2θ = 10–80°), by angle:
13.7°, I = 42
29.3°, I = 100
31.6°, I = 33
34.6°, I = 42
37.0°, I = 51
37.2°, I = 50
37.8°, I = 75
41.3°, I = 27
42.4°, I = 27
54.9°, I = 36
60.0°, I = 25
66.0°, I = 28

Crystal structure
```
Tl3P2Pt3
1.0
2.8310 1.6345 6.4724
-2.8310 1.6345 6.4724
0.0000 -3.2689 6.4724
Tl P Pt
3 2 3
direct
0.0000 0.0000 0.0000
0.4134 0.4134 0.4134
0.5866 0.5866 0.5866
0.2556 0.2556 0.2556
0.7444 0.7444 0.7444
0.0000 0.0000 0.5000
0.0000 0.5000 0.0000
0.5000 0.0000 0.0000
```


[6]
Computed powder X-ray diffraction pattern
Compound: TlP5Pt3
Radiation: λ = 1.5418 Å (Cu Kα)
Structure: a PBE-relaxed structure
Lines closer than 0.1° are merged.

The 12 most intense peaks (2θ = 10–80°), by angle:
12.9°, I = 73
22.1°, I = 100
26.0°, I = 41
33.9°, I = 37
36.2°, I = 63
38.6°, I = 32
43.6°, I = 19
45.1°, I = 93
50.4°, I = 23
65.1°, I = 18
66.3°, I = 22
71.3°, I = 19

Crystal structure
```
TlP5Pt3
1.0
5.7328 0.0000 0.0000
-2.8664 4.9648 0.0000
0.0000 0.0000 6.8540
Tl P Pt
1 5 3
direct
0.0000 0.0000 0.0000
0.0000 0.0000 0.5000
0.3333 0.6667 0.2425
0.3333 0.6667 0.7575
0.6667 0.3333 0.2425
0.6667 0.3333 0.7575
0.0000 0.5000 0.5000
0.5000 0.0000 0.5000
0.5000 0.5000 0.5000
```


[7]
Computed powder X-ray diffraction pattern
Compound: TmPPt
Radiation: λ = 1.5418 Å (Cu Kα)
Structure: a PBE-relaxed structure
Lines closer than 0.1° are merged.

The 12 most intense peaks (2θ = 10–80°), by angle:
23.3°, I = 1
25.0°, I = 26
34.5°, I = 100
44.1°, I = 40
47.7°, I = 10
51.3°, I = 4
54.6°, I = 7
57.1°, I = 24
67.0°, I = 23
69.9°, I = 3
72.7°, I = 3
74.8°, I = 22

Crystal structure
```
TmPPt
1.0
4.1110 0.0000 0.0000
-2.0555 3.5602 0.0000
0.0000 0.0000 3.8112
Tm P Pt
1 1 1
direct
0.0000 0.0000 0.0000
0.6667 0.3333 0.5000
0.3333 0.6667 0.5000
```


Copy entry 6 word for word.
Computed powder X-ray diffraction pattern
Compound: TlP5Pt3
Radiation: λ = 1.5418 Å (Cu Kα)
Structure: a PBE-relaxed structure
Lines closer than 0.1° are merged.

The 12 most intense peaks (2θ = 10–80°), by angle:
12.9°, I = 73
22.1°, I = 100
26.0°, I = 41
33.9°, I = 37
36.2°, I = 63
38.6°, I = 32
43.6°, I = 19
45.1°, I = 93
50.4°, I = 23
65.1°, I = 18
66.3°, I = 22
71.3°, I = 19

Crystal structure
```
TlP5Pt3
1.0
5.7328 0.0000 0.0000
-2.8664 4.9648 0.0000
0.0000 0.0000 6.8540
Tl P Pt
1 5 3
direct
0.0000 0.0000 0.0000
0.0000 0.0000 0.5000
0.3333 0.6667 0.2425
0.3333 0.6667 0.7575
0.6667 0.3333 0.2425
0.6667 0.3333 0.7575
0.0000 0.5000 0.5000
0.5000 0.0000 0.5000
0.5000 0.5000 0.5000
```


Please write out number 3 again, unchanged.
Computed powder X-ray diffraction pattern
Compound: Pr2TeP
Radiation: λ = 1.5418 Å (Cu Kα)
Structure: a PBE-relaxed structure
Lines closer than 0.1° are merged.

The 12 most intense peaks (2θ = 10–80°), by angle:
25.3°, I = 8
27.2°, I = 10
28.9°, I = 100
33.3°, I = 11
40.2°, I = 9
41.3°, I = 48
42.3°, I = 13
50.3°, I = 11
52.0°, I = 14
57.7°, I = 9
67.9°, I = 11
76.6°, I = 8

Crystal structure
```
Pr2TeP
1.0
4.2771 0.0000 0.0000
0.0000 6.1737 0.0000
0.0000 0.0000 8.9662
Pr Te P
4 2 2
direct
0.2500 0.2500 0.1037
0.2500 0.2500 0.6659
0.7500 0.7500 0.3341
0.7500 0.7500 0.8963
0.2500 0.7500 0.6170
0.7500 0.2500 0.3830
0.2500 0.7500 0.1188
0.7500 0.2500 0.8812
```


Repeat the fourth record exactly.
Computed powder X-ray diffraction pattern
Compound: P2Pt3
Radiation: λ = 1.5418 Å (Cu Kα)
Structure: a PBE-relaxed structure
Lines closer than 0.1° are merged.

The 12 most intense peaks (2θ = 10–80°), by angle:
27.2°, I = 100
27.9°, I = 36
32.0°, I = 46
34.5°, I = 36
38.2°, I = 18
38.7°, I = 58
42.2°, I = 86
45.4°, I = 63
47.8°, I = 45
53.7°, I = 25
68.2°, I = 23
72.0°, I = 19

Crystal structure
```
P2Pt3
1.0
1.7063 -6.0158 0.0000
1.7063 6.0158 0.0000
0.0000 0.0000 7.5627
P Pt
4 6
direct
0.0000 0.0000 0.0000
0.0000 0.0000 0.5000
0.2563 0.7437 0.7500
0.7437 0.2563 0.2500
0.3371 0.6629 0.0655
0.3371 0.6629 0.4345
0.4551 0.5449 0.7500
0.5449 0.4551 0.2500
0.6629 0.3371 0.5655
0.6629 0.3371 0.9345
```